The following is a simulated X-ray powder pattern of Pa2HgO4. It was derived from a cell relaxed with PBE, using Cu Kα (weighted mean of Kα1 and Kα2).
No peak broadening, texture or thermal motion is included.

Largest 6 diffraction maxima, by angle, 2θ = 5–70°:
2theta  I (rel.)
27.28  93
29.80  82
31.19  100
48.00  47
51.61  30
56.08  56

Atomic structure:
```
Pa2HgO4
1.0
1.895 1.094 9.816
-1.895 1.094 9.816
0.000 -2.188 9.816
Pa Hg O
2 1 4
Direct
0.221 0.221 0.221
0.779 0.779 0.779
0.000 0.000 0.000
0.142 0.142 0.142
0.422 0.422 0.422
0.578 0.578 0.578
0.858 0.858 0.858
```